Computed powder diffractogram
Compound: Li7P3S11
Radiation: CuKα
Structure: a PBE-relaxed structure

Structural model:
Cell: 6.3231 12.4042 12.5598 Å, 107.62 102.80 102.27°
Space group P-1 (No. 2)
Inequivalent atoms, fractional coordinates:
Li (0.0895, 0.3642, 0.3831) (multiplicity 2)
Li (0.1957, 0.6768, 0.2013) (multiplicity 2)
Li (0.2030, 0.8287, 0.9995) (multiplicity 2)
Li (0.2449, 0.1681, 0.5975) (multiplicity 2)
Li (0.2961, 0.4690, 0.7513) (multiplicity 2)
Li (0.3481, 0.8878, 0.6148) (multiplicity 2)
Li (0.4006, 0.2056, 0.2030) (multiplicity 2)
P (0.0216, 0.0281, 0.2275) (multiplicity 2)
P (0.3184, 0.2769, 0.9506) (multiplicity 2)
P (0.3572, 0.6647, 0.4409) (multiplicity 2)
S (0.0053, 0.1825, 0.2024) (multiplicity 2)
S (0.0370, 0.9775, 0.6217) (multiplicity 2)
S (0.0603, 0.3373, 0.9837) (multiplicity 2)
S (0.1151, 0.5262, 0.3009) (multiplicity 2)
S (0.2574, 0.0899, 0.9233) (multiplicity 2)
S (0.3033, 0.6779, 0.5995) (multiplicity 2)
S (0.3131, 0.9924, 0.2047) (multiplicity 2)
S (0.3288, 0.3581, 0.5574) (multiplicity 2)
S (0.3494, 0.8186, 0.4111) (multiplicity 2)
S (0.4096, 0.3126, 0.8174) (multiplicity 2)
S (0.4122, 0.6793, 0.9020) (multiplicity 2)

Peak list (12 most intense, 10 to 80 degrees two-theta, by intensity)
2θ 29.57, I 100, (1 1 -4)
2θ 23.67, I 93, (0 3 0)
2θ 28.29, I 92, (-2 1 1)
2θ 23.27, I 86, (1 1 1)
2θ 29.76, I 76, (0 4 -2)
2θ 17.61, I 72, (0 2 -2)
2θ 18.23, I 68, (1 -2 0)
2θ 18.05, I 58, (1 0 -2)
2θ 31.72, I 50, (1 0 3)
2θ 17.48, I 45, (1 -1 1)
2θ 29.86, I 43, (-2 2 1)
2θ 19.93, I 39, (0 2 1)